[1]
The following is a calculated powder X-ray diffraction pattern of BaNi3Te4. It was derived from a DFT-relaxed cell (GGA-PBE, OQMD), using Cu Kα (λ = 1.5418 Å).
Lines closer than 0.1° are merged.

```
data_BaNi3Te4
_chemical_formula_sum 'Ba1 Ni3 Te4'
_cell_length_a 6.409
_cell_length_b 3.968
_cell_length_c 7.825
_cell_angle_alpha 90.00
_cell_angle_beta 92.06
_cell_angle_gamma 90.00
_symmetry_space_group_name_H-M 'P 1 2/m 1'
_symmetry_Int_Tables_number 10
loop_
_symmetry_equiv_pos_as_xyz
'x,y,z'
'-x,-y,-z'
'-x,y,-z'
'x,-y,z'
loop_
_atom_site_label
_atom_site_type_symbol
_atom_site_fract_x
_atom_site_fract_y
_atom_site_fract_z
Ba1 Ba 0.000 0.000 0.000
Ni1 Ni 0.000 0.500 0.500
Ni2 Ni 0.500 0.000 0.000
Ni3 Ni 0.500 0.500 0.500
Te1 Te 0.222 0.000 0.408
Te2 Te 0.382 0.500 0.813
```

The 10 most intense peaks (2θ from 10° to 90°), by angle:
d (Å), intensity
3.373, 47
3.285, 79
3.119, 68
3.001, 60
2.785, 38
2.445, 34
2.355, 100
2.179, 59
2.042, 29
1.984, 42


[2]
The following is a calculated powder X-ray diffraction pattern of Ba2Ni2W3. It was derived from a DFT-relaxed cell (GGA-PBE, OQMD), using Cu Kα (λ = 1.5418 Å).
Lines closer than 0.1° are merged.

```
data_Ba2Ni2W3
_chemical_formula_sum 'Ba6 Ni6 W9'
_cell_length_a 4.2788
_cell_length_b 4.2788
_cell_length_c 31.0699
_cell_angle_alpha 90.00
_cell_angle_beta 90.00
_cell_angle_gamma 120.00
_symmetry_space_group_name_H-M 'R 3 m'
_symmetry_Int_Tables_number 160
_symmetry_space_group_name_Hall 'R 3 -2"'
loop_
_atom_site_label
_atom_site_type_symbol
_atom_site_fract_x
_atom_site_fract_y
_atom_site_fract_z
Ba1 Ba 0.0000 0.0000 0.0000
Ba2 Ba 0.0000 0.0000 0.4300
Ni1 Ni 0.0000 0.0000 0.1625
Ni2 Ni 0.0000 0.0000 0.6187
W1 W 0.0000 0.0000 0.2444
W2 W 0.0000 0.0000 0.5432
W3 W 0.0000 0.0000 0.8464
```

The 10 most intense peaks (2θ from 10° to 90°), by angle:
d (Å), intensity
3.183, 56
2.845, 76
2.381, 46
2.246, 16
2.139, 100
2.095, 29
2.008, 35
1.710, 17
1.336, 15
1.235, 17


[3]
The following is a calculated powder X-ray diffraction pattern of BaNp4S8. It was derived from a DFT-relaxed cell (GGA-PBE, OQMD), using Cu Kα (λ = 1.5418 Å).
Lines closer than 0.1° are merged.

```
data_BaNp4S8
_chemical_formula_sum 'Ba3 Np12 S24'
_cell_length_a 7.9877
_cell_length_b 7.9877
_cell_length_c 22.4118
_cell_angle_alpha 90.00
_cell_angle_beta 90.00
_cell_angle_gamma 120.00
_symmetry_space_group_name_H-M 'R -3 m'
_symmetry_Int_Tables_number 166
_symmetry_space_group_name_Hall '-R 3 2"'
loop_
_atom_site_label
_atom_site_type_symbol
_atom_site_fract_x
_atom_site_fract_y
_atom_site_fract_z
Ba1 Ba 0.0000 0.0000 0.0000
Np1 Np 0.0000 0.0000 0.5000
Np2 Np 0.0000 0.5000 0.5000
S1 S 0.0000 0.0000 0.2283
S2 S 0.0029 0.5015 0.7686
```

The 10 most intense peaks (2θ from 10° to 90°), by angle:
d (Å), intensity
7.471, 100
3.735, 18
3.418, 36
3.305, 35
2.943, 72
2.350, 23
2.177, 27
1.997, 25
1.929, 20
1.761, 15